(1)
For Ba2ZnAgH6, the PBE geometry in Alexandria gives the simulated XRD peak list in this record (CuKα).

Atomic structure:
a = 5.7740 Å, b = 5.7740 Å, c = 5.7628 Å
α = 119.87°, β = 119.87°, γ = 90.10°
Sites, in units of the cell vectors:
Ba (0.2491, 0.7509, 0.0000)
Ba (0.7509, 0.2491, 0.0000)
Zn (0.0000, 0.0000, 0.5000)
Ag (0.5000, 0.5000, 0.5000)
H (0.2335, 0.2335, 0.4972)
H (0.2340, 0.2340, 0.9698)
H (0.2345, 0.7655, 0.5000)
H (0.7655, 0.2345, 0.5000)
H (0.7660, 0.7660, 0.0302)
H (0.7665, 0.7665, 0.5028)

The 10 most intense peaks (2θ from 10° to 90°), in order of rising 2θ:
2θ 30.9, rel. 100
2θ 31.0, rel. 20
2θ 44.4, rel. 23
2θ 55.0, rel. 23
2θ 55.1, rel. 23
2θ 64.5, rel. 7
2θ 73.3, rel. 10
2θ 89.7, rel. 6
2θ 89.8, rel. 6
2θ 89.9, rel. 6

***

(2)
For Ba2HfAg2O6, the PBE geometry in Alexandria gives the simulated XRD peak list in this record (CuKα).

Atomic structure:
a = 6.6821 Å, b = 6.6821 Å, c = 6.6821 Å
α = 56.71°, β = 56.71°, γ = 56.71°
Sites, in units of the cell vectors:
Ba (0.2143, 0.2143, 0.2143)
Ba (0.7857, 0.7857, 0.7857)
Hf (0.0000, 0.0000, 0.0000)
Ag (0.4145, 0.4145, 0.4145)
Ag (0.5855, 0.5855, 0.5855)
O (0.2039, 0.7751, 0.7751)
O (0.2249, 0.2249, 0.7961)
O (0.2249, 0.7961, 0.2249)
O (0.7751, 0.2039, 0.7751)
O (0.7751, 0.7751, 0.2039)
O (0.7961, 0.2249, 0.2249)

The 10 most intense peaks (2θ from 10° to 90°), in order of rising 2θ:
2θ 28.1, rel. 100
2θ 31.3, rel. 67
2θ 39.2, rel. 9
2θ 42.5, rel. 30
2θ 49.8, rel. 20
2θ 51.8, rel. 37
2θ 57.4, rel. 10
2θ 58.1, rel. 16
2θ 67.5, rel. 15
2θ 80.0, rel. 11

***

(3)
For Ba2AgHg, the PBE geometry in Alexandria gives the simulated XRD peak list in this record (CuKα).

Atomic structure:
a = 5.2353 Å, b = 4.6330 Å, c = 12.6072 Å
α = 90.00°, β = 90.00°, γ = 90.00°
Sites, in units of the cell vectors:
Ba (0.0000, 0.0000, 0.0000)
Ba (0.0000, 0.5000, 0.5000)
Ba (0.5000, 0.0000, 0.2761)
Ba (0.5000, 0.5000, 0.7761)
Ag (0.5000, 0.0000, 0.5671)
Ag (0.5000, 0.5000, 0.0671)
Hg (0.0000, 0.0000, 0.7109)
Hg (0.0000, 0.5000, 0.2109)

The 10 most intense peaks (2θ from 10° to 90°), in order of rising 2θ:
2θ 14.0, rel. 24
2θ 26.6, rel. 100
2θ 28.3, rel. 20
2θ 28.7, rel. 32
2θ 33.2, rel. 36
2θ 33.5, rel. 90
2θ 34.3, rel. 36
2θ 38.9, rel. 25
2θ 52.8, rel. 21
2θ 66.1, rel. 21

***

(4)
For Ba2Ag3Hg5, the PBE geometry in Alexandria gives the simulated XRD peak list in this record (CuKα).

Atomic structure:
a = 9.9129 Å, b = 9.9129 Å, c = 9.9129 Å
α = 108.08°, β = 84.61°, γ = 141.58°
Sites, in units of the cell vectors:
Ba (0.1413, 0.2190, 0.3603)
Ba (0.3587, 0.7190, 0.0777)
Ba (0.6413, 0.2810, 0.9223)
Ba (0.8587, 0.7810, 0.6397)
Ag (0.1496, 0.9060, 0.0557)
Ag (0.2500, 0.7500, 0.5000)
Ag (0.3504, 0.4060, 0.7564)
Ag (0.6496, 0.5940, 0.2436)
Ag (0.7500, 0.2500, 0.5000)
Ag (0.8504, 0.0940, 0.9443)
Hg (0.0462, 0.7500, 0.2962)
Hg (0.0865, 0.6762, 0.7627)
Hg (0.2500, 0.2500, 0.0000)
Hg (0.4135, 0.1762, 0.5897)
Hg (0.4538, 0.7500, 0.7038)
Hg (0.5462, 0.2500, 0.2962)
Hg (0.5865, 0.8238, 0.4103)
Hg (0.7500, 0.7500, 0.0000)
Hg (0.9135, 0.3238, 0.2373)
Hg (0.9538, 0.2500, 0.7038)

The 10 most intense peaks (2θ from 10° to 90°), in order of rising 2θ:
2θ 19.7, rel. 23
2θ 28.8, rel. 58
2θ 29.4, rel. 52
2θ 31.4, rel. 100
2θ 33.9, rel. 48
2θ 34.3, rel. 28
2θ 36.9, rel. 72
2θ 38.5, rel. 43
2θ 41.6, rel. 24
2θ 57.4, rel. 32